Starting from a crystal structure in the Materials Project, relaxed with GGA-PBE, the powder X-ray diffraction pattern of Cs3MnI5 was computed for CuKα.

Largest 12 diffraction maxima, by angle, 2θ from 10° to 80°:
d_spacing  2θ (°)  intensity
3.698  24.1  120
3.652  24.4  104
3.590  24.8  1000
3.308  27.0  476
3.275  27.2  114
2.467  36.4  104
2.339  38.5  114
2.311  39.0  108
2.137  42.3  156
1.911  47.6  102
1.850  49.3  161
1.835  49.7  221

Structure:
Unit cell a=11.1919 b=11.1919 c=11.1919 alpha=124.28 beta=124.28 gamma=82.73
Positions (direct):
Cs 0.1562 0.6562 0.8124
Cs 0.2500 0.2500 0.0000
Cs 0.3438 0.1562 0.5000
Cs 0.6562 0.8438 0.5000
Cs 0.7500 0.7500 0.0000
Cs 0.8438 0.3438 0.1876
Mn 0.2500 0.7500 0.5000
Mn 0.7500 0.2500 0.5000
I 0.0000 0.0000 0.0000
I 0.0088 0.8001 0.5000
I 0.1999 0.6999 0.2087
I 0.3001 0.5088 0.5000
I 0.4912 0.9912 0.7913
I 0.5000 0.5000 0.0000
I 0.5088 0.0088 0.2087
I 0.6999 0.4912 0.5000
I 0.8001 0.3001 0.7913
I 0.9912 0.1999 0.5000